Calculated powder XRD pattern
Compound: Ca6ScCo3O12
Radiation: Cu Kα (λ = 1.5418 Å)
Structure: a structure optimized by DFT (PBE+U)

Top 6 peaks for 5 to 70 degrees two-theta, most intense first:
2.696 Å, I = 100.0
4.669 Å, I = 55.2
2.005 Å, I = 50.5
1.949 Å, I = 46.6
2.822 Å, I = 41.9
2.220 Å, I = 33.5

Crystal structure
```
22
Lattice="4.6695 2.6959 3.5413 -4.6695 2.6959 3.5413 0.0000 -5.3919 3.5413" Properties=species:S:1:pos:R:3 pbc="T T T"
Ca -1.7184 -2.4154 3.5413
Ca -3.4123 0.0000 5.3119
Ca -1.2326 2.6959 3.5413
Ca 1.7061 -2.9551 5.3119
Ca -1.7184 2.4154 7.0826
Ca 1.7061 2.9551 5.3119
Sc 0.0000 0.0000 0.0000
Co 0.0000 0.0000 2.6659
Co 0.0000 0.0000 5.3119
Co 0.0000 0.0000 7.9580
O -3.0844 -2.4968 5.6447
O -0.6201 -3.9196 4.9792
O -1.5601 0.1883 3.9068
O -3.0844 2.4968 4.9792
O 0.6169 -1.4452 3.9068
O -1.5601 -0.1883 6.7171
O 0.9431 1.2569 3.9068
O 0.9431 -1.2569 6.7171
O -0.6201 3.9196 5.6447
O 0.6169 1.4452 6.7171
O 3.7045 -1.4228 5.6447
O 3.7045 1.4228 4.9792
```